1.
Diffraction record for Tb2SmEr2Sc2. The powder diffractogram is computed, not measured: it uses a structure optimized by DFT (GGA-PBE) and Cu Kα, 1.54184 Å.
Neutral-atom scattering factors, no anomalous dispersion.

Crystal structure
Cell lengths 3.4144, 5.4014, 22.4779 Å; angles 90.00, 90.00, 90.00 degrees
Space group Immm (No. 71)
Inequivalent atoms, fractional coordinates:
1 Tb 0.0000 0.0000 0.0727 [4 per cell]
2 Sm 0.0000 0.0000 0.5000 [2 per cell]
3 Er 0.0000 0.5000 0.2917 [4 per cell]
4 Sc 0.0000 0.5000 0.1453 [4 per cell]

Largest 10 diffraction maxima, by angle, 2θ = 15–90°:
2θ = 20.27°, I = 20, hkl 0 1 3; 2θ = 32.02°, I = 100, hkl 1 1 2; 2θ = 32.44°, I = 87, hkl 0 1 7; 2θ = 32.94°, I = 52, hkl 1 0 5; 2θ = 33.17°, I = 42, hkl 0 2 0; 2θ = 44.97°, I = 16, hkl 1 0 9; 2θ = 47.45°, I = 38, hkl 1 2 5; 2θ = 58.54°, I = 18, hkl 1 3 2; 2θ = 58.78°, I = 36, hkl 0 3 7; 2θ = 64.14°, I = 24, hkl 2 1 7

***

2.
Diffraction record for Sc9Ni5Ge8. The powder diffractogram is computed, not measured: it uses a structure optimized by DFT (GGA-PBE) and Cu Kα, 1.54184 Å.
Neutral-atom scattering factors, no anomalous dispersion.

Crystal structure
Cell lengths 3.9468, 9.0697, 21.1212 Å; angles 90.00, 90.00, 90.00 degrees
Space group Immm (No. 71)
Inequivalent atoms, fractional coordinates:
1 Sc 0.0000 0.0000 0.0000 [2 per cell]
2 Sc 0.0000 0.3006 0.4147 [8 per cell]
3 Sc 0.0000 0.5000 0.1111 [4 per cell]
4 Sc 0.0000 0.5000 0.2744 [4 per cell]
5 Ni 0.0000 0.0000 0.5000 [2 per cell]
6 Ni 0.0000 0.2251 0.1952 [8 per cell]
7 Ge 0.0000 0.0000 0.1321 [4 per cell]
8 Ge 0.0000 0.1395 0.3060 [8 per cell]
9 Ge 0.0000 0.3202 0.0000 [4 per cell]

Largest 10 diffraction maxima, by angle, 2θ = 15–90°:
2θ = 35.58°, I = 32, hkl 1 1 6; 2θ = 36.55°, I = 25, hkl 0 3 5; 2θ = 36.94°, I = 100, hkl 1 2 5; 2θ = 37.52°, I = 29, hkl 1 0 7; 2θ = 38.46°, I = 92, hkl 1 3 2; 2θ = 39.50°, I = 33, hkl 0 2 8; 2θ = 42.81°, I = 30, hkl 0 0 10; 2θ = 45.99°, I = 53, hkl 2 0 0; 2θ = 48.05°, I = 38, hkl 1 4 3; 2θ = 51.46°, I = 31, hkl 1 3 8